Pm2MnPdO5: computed PXRD pattern (Cu Kα (λ = 1.5418 Å)), based on a crystal structure in Alexandria, relaxed with PBE+U.

Main lines, low angle first (15° ≤ 2θ ≤ 90°):
(hkl), two_theta, d_spacing, intensity
0 0 1, 15.69, 5.649, 24.4
2 1 0, 29.58, 3.020, 26.0
2 0 1, 30.85, 2.898, 100.0
0 0 2, 31.68, 2.824, 36.3
2 1 1, 33.65, 2.663, 65.8
2 2 0, 37.67, 2.388, 23.0
3 1 0, 42.32, 2.136, 20.9
2 1 2, 43.89, 2.063, 46.3
2 2 2, 50.02, 1.823, 19.6
4 1 1, 58.69, 1.573, 19.5

Structure:
```
Pm2MnPdO5
1.0
6.7532 0.0000 0.0000
0.0000 6.7532 0.0000
0.0000 0.0000 5.6486
Pm Mn Pd O
4 2 2 10
Direct
0.1769 0.3231 0.0000
0.3231 0.8231 0.0000
0.6769 0.1769 0.0000
0.8231 0.6769 0.0000
0.0000 0.5000 0.5000
0.5000 0.0000 0.5000
0.0000 0.0000 0.5000
0.5000 0.5000 0.5000
0.0000 0.0000 0.0000
0.1335 0.6335 0.2530
0.1335 0.6335 0.7470
0.3665 0.1335 0.2530
0.3665 0.1335 0.7470
0.5000 0.5000 0.0000
0.6335 0.8665 0.2530
0.6335 0.8665 0.7470
0.8665 0.3665 0.2530
0.8665 0.3665 0.7470
```